Record 1
FeSn: calculated powder diffractogram (Cu Kα (λ = 1.5418 Å)), based on a DFT-relaxed cell (GGA-PBE, the Materials Project).
Neutral-atom scattering factors, no anomalous dispersion.

```
4
Lattice="4.086 0.000 0.000 -2.043 3.539 0.000 0.000 0.000 5.113" Properties=species:S:1:pos:R:3 pbc="T T T"
Fe 0.000 0.000 0.000
Fe 0.000 0.000 2.556
Sn 0.000 2.359 1.278
Sn 2.043 1.180 3.835
```

The 8 most intense peaks (15 to 90 degrees two-theta), most intense first:
2theta, intensity
30.73, 1000
44.34, 541
43.68, 493
54.91, 202
73.14, 180
81.16, 157
60.28, 154
64.00, 154


Record 2
FeSn3: calculated powder diffractogram (Cu Kα (λ = 1.5418 Å)), based on a DFT-relaxed cell (GGA-PBE, the Materials Project).
Neutral-atom scattering factors, no anomalous dispersion.

```
8
Lattice="6.642 0.000 0.000 -3.321 5.753 0.000 0.000 0.000 4.563" Properties=species:S:1:pos:R:3 pbc="T T T"
Fe 0.000 3.835 1.141
Fe 3.321 1.918 3.422
Sn 0.000 2.095 3.422
Sn -1.507 4.705 3.422
Sn 1.814 1.048 1.141
Sn 1.507 4.705 3.422
Sn 4.828 1.048 1.141
Sn 3.321 3.657 1.141
```

The 8 most intense peaks (15 to 90 degrees two-theta), most intense first:
2theta, intensity
36.94, 1000
31.09, 266
39.50, 198
70.09, 185
55.32, 184
69.97, 159
68.40, 142
51.10, 134


Record 3
FeSn2: calculated powder diffractogram (Cu Kα (λ = 1.5418 Å)), based on a DFT-relaxed cell (GGA-PBE, the Materials Project).
Neutral-atom scattering factors, no anomalous dispersion.

```
6
Lattice="-3.305 3.305 2.665 3.305 -3.305 2.665 3.305 3.305 -2.665" Properties=species:S:1:pos:R:3 pbc="T T T"
Fe 0.000 0.000 1.333
Fe 0.000 0.000 3.998
Sn 4.372 1.067 0.000
Sn 1.067 2.238 0.000
Sn 2.238 1.067 2.665
Sn -1.067 2.238 2.665
```

The 8 most intense peaks (15 to 90 degrees two-theta), most intense first:
2theta, intensity
34.70, 1000
43.29, 275
43.63, 213
60.83, 206
69.94, 174
38.90, 171
60.29, 165
33.63, 134


Record 4
Fe3Sn2: calculated powder diffractogram (Cu Kα (λ = 1.5418 Å)), based on a DFT-relaxed cell (GGA-PBE, the Materials Project).
Neutral-atom scattering factors, no anomalous dispersion.

```
10
Lattice="2.665 1.539 6.599 -2.665 1.539 6.599 0.000 -3.078 6.599" Properties=species:S:1:pos:R:3 pbc="T T T"
Fe -1.276 -0.737 8.851
Fe 0.000 -1.474 10.945
Fe -1.276 0.737 10.945
Fe 1.276 -0.737 8.851
Fe 0.000 1.474 8.851
Fe 1.276 0.737 10.945
Sn 0.000 0.000 2.081
Sn 0.000 0.000 6.547
Sn 0.000 0.000 13.249
Sn 0.000 0.000 17.716
```

The 8 most intense peaks (15 to 90 degrees two-theta), most intense first:
2theta, intensity
43.25, 1000
45.49, 969
33.62, 637
41.03, 604
29.73, 495
85.12, 430
26.40, 381
70.69, 365


Record 5
TbFe6Sn6: calculated powder diffractogram (Cu Kα (λ = 1.5418 Å)), based on a DFT-relaxed cell (GGA-PBE, the Materials Project).
Neutral-atom scattering factors, no anomalous dispersion.

```
26
Lattice="4.487 -9.379 0.000 4.487 9.379 0.000 0.000 0.000 5.433" Properties=species:S:1:pos:R:3 pbc="T T T"
Tb 4.487 6.984 4.075
Tb 4.487 -6.984 1.358
Fe 2.244 4.689 0.000
Fe 2.244 4.689 2.716
Fe 2.218 2.344 4.075
Fe 2.211 0.000 0.000
Fe 2.211 0.000 2.716
Fe 2.218 -2.344 1.358
Fe 2.244 -4.689 0.000
Fe 2.244 -4.689 2.716
Fe 6.757 2.344 4.075
Fe 6.764 0.000 0.000
Fe 6.764 0.000 2.716
Fe 6.757 -2.344 1.358
Sn 4.487 8.590 1.358
Sn 4.487 5.425 1.358
Sn 3.024 2.333 1.358
Sn 4.487 3.842 4.075
Sn 4.487 0.757 4.075
Sn 3.024 -2.333 4.075
Sn 5.950 2.333 1.358
Sn 4.487 -0.757 1.358
Sn 4.487 -3.842 1.358
Sn 5.950 -2.333 4.075
Sn 4.487 -5.425 4.075
Sn 4.487 -8.590 4.075
```

The 8 most intense peaks (15 to 90 degrees two-theta), most intense first:
2theta, intensity
33.03, 1000
38.80, 930
43.49, 480
72.11, 370
38.33, 297
40.19, 244
69.36, 200
44.76, 175


Record 6
Tb4FeSn8: calculated powder diffractogram (Cu Kα (λ = 1.5418 Å)), based on a DFT-relaxed cell (GGA-PBE, the Materials Project).
Neutral-atom scattering factors, no anomalous dispersion.

```
13
Lattice="4.430 0.000 0.000 0.000 4.468 0.000 0.000 0.000 16.717" Properties=species:S:1:pos:R:3 pbc="T T T"
Tb 0.000 0.000 0.000
Tb 0.000 2.234 8.239
Tb 2.215 0.000 13.230
Tb 2.215 2.234 4.968
Fe 0.000 2.234 11.755
Sn 0.000 0.000 5.557
Sn 0.000 0.000 10.579
Sn 0.000 2.234 2.460
Sn 0.000 2.234 14.248
Sn 2.215 0.000 2.503
Sn 2.215 0.000 7.660
Sn 2.215 2.234 10.584
Sn 2.215 2.234 16.234
```

The 8 most intense peaks (15 to 90 degrees two-theta), most intense first:
2theta, intensity
32.69, 1000
68.55, 225
40.37, 178
32.13, 176
40.73, 174
69.07, 128
58.70, 121
52.50, 92


Record 7
Th4FeSn8: calculated powder diffractogram (Cu Kα (λ = 1.5418 Å)), based on a DFT-relaxed cell (GGA-PBE, the Materials Project).
Neutral-atom scattering factors, no anomalous dispersion.

```
13
Lattice="4.499 0.000 0.000 0.000 4.524 0.000 0.000 0.000 17.196" Properties=species:S:1:pos:R:3 pbc="T T T"
Th 0.000 0.000 0.000
Th 0.000 2.262 8.538
Th 2.249 0.000 3.507
Th 2.249 2.262 12.174
Fe 0.000 0.000 13.671
Sn 0.000 0.000 6.015
Sn 0.000 0.000 11.194
Sn 0.000 2.262 2.806
Sn 0.000 2.262 14.810
Sn 2.249 0.000 9.250
Sn 2.249 0.000 14.822
Sn 2.249 2.262 0.675
Sn 2.249 2.262 6.038
```

The 8 most intense peaks (15 to 90 degrees two-theta), most intense first:
2theta, intensity
32.11, 1000
39.85, 177
40.09, 174
31.21, 171
67.84, 136
37.20, 130
67.51, 125
57.80, 122


Record 8
UFe5Sn: calculated powder diffractogram (Cu Kα (λ = 1.5418 Å)), based on a DFT-relaxed cell (GGA-PBE, the Materials Project).
Neutral-atom scattering factors, no anomalous dispersion.

```
28
Lattice="8.089 0.000 0.000 0.000 4.700 0.000 0.000 0.000 10.442" Properties=species:S:1:pos:R:3 pbc="T T T"
U 1.937 1.175 0.632
U 2.107 3.525 5.853
U 5.982 1.175 4.589
U 6.152 3.525 9.810
Fe 0.563 1.175 6.335
Fe 0.587 2.354 8.515
Fe 0.587 4.697 8.515
Fe 0.863 3.525 0.248
Fe 1.467 3.525 2.598
Fe 2.577 1.175 7.819
Fe 3.181 1.175 5.469
Fe 3.457 0.004 3.294
Fe 3.457 2.347 3.294
Fe 3.481 3.525 1.114
Fe 4.608 1.175 9.328
Fe 4.631 2.354 7.148
Fe 4.631 4.697 7.148
Fe 4.908 3.525 4.973
Fe 5.511 3.525 2.623
Fe 6.622 1.175 7.845
Fe 7.225 1.175 10.194
Fe 7.502 0.004 1.927
Fe 7.502 2.347 1.927
Fe 7.525 3.525 4.107
Sn 1.031 1.175 3.763
Sn 3.013 3.525 8.984
Sn 5.076 1.175 1.458
Sn 7.057 3.525 6.679
```

The 8 most intense peaks (15 to 90 degrees two-theta), most intense first:
2theta, intensity
39.48, 1000
39.16, 653
36.16, 578
45.66, 431
32.00, 415
38.30, 356
33.91, 285
37.54, 278


Record 9
U2Fe2Sn: calculated powder diffractogram (Cu Kα (λ = 1.5418 Å)), based on a DFT-relaxed cell (GGA-PBE, the Materials Project).
Neutral-atom scattering factors, no anomalous dispersion.

```
10
Lattice="7.274 0.000 0.000 0.000 7.274 0.000 0.000 0.000 3.356" Properties=species:S:1:pos:R:3 pbc="T T T"
U 1.201 2.436 0.000
U 2.436 6.073 0.000
U 4.838 1.201 0.000
U 6.073 4.838 0.000
Fe 0.983 4.620 1.678
Fe 2.654 0.983 1.678
Fe 4.620 6.292 1.678
Fe 6.292 2.654 1.678
Sn 0.000 0.000 1.678
Sn 3.637 3.637 1.678
```

The 8 most intense peaks (15 to 90 degrees two-theta), most intense first:
2theta, intensity
38.55, 1000
39.16, 450
27.42, 414
36.43, 335
59.17, 199
60.65, 188
69.32, 173
75.94, 160


Record 10
ZrFe6Sn6: calculated powder diffractogram (Cu Kα (λ = 1.5418 Å)), based on a DFT-relaxed cell (GGA-PBE, the Materials Project).
Neutral-atom scattering factors, no anomalous dispersion.

```
13
Lattice="5.370 0.000 0.000 -2.685 4.651 0.000 0.000 0.000 8.897" Properties=species:S:1:pos:R:3 pbc="T T T"
Zr 0.000 0.000 0.000
Fe -1.343 2.325 2.202
Fe -1.343 2.325 6.695
Fe 2.685 0.000 2.202
Fe 2.685 0.000 6.695
Fe 1.343 2.325 2.202
Fe 1.343 2.325 6.695
Sn 0.000 0.000 2.977
Sn 0.000 0.000 5.920
Sn 0.000 3.101 0.000
Sn 0.000 3.101 4.449
Sn 2.685 1.550 0.000
Sn 2.685 1.550 4.449
```

The 8 most intense peaks (15 to 90 degrees two-theta), most intense first:
2theta, intensity
33.37, 1000
39.19, 877
43.93, 725
35.91, 388
72.87, 384
70.09, 323
45.19, 276
38.72, 267


Record 11
Sr3Fe: calculated powder diffractogram (Cu Kα (λ = 1.5418 Å)), based on a DFT-relaxed cell (GGA-PBE, the Materials Project).
Neutral-atom scattering factors, no anomalous dispersion.

```
8
Lattice="7.852 0.000 0.000 -3.926 6.800 0.000 0.000 0.000 5.887" Properties=species:S:1:pos:R:3 pbc="T T T"
Sr 0.000 2.425 1.472
Sr -1.825 5.587 1.472
Sr 2.100 1.213 4.416
Sr 1.825 5.587 1.472
Sr 5.751 1.213 4.416
Sr 3.926 4.374 4.416
Fe 0.000 4.533 4.416
Fe 3.926 2.267 1.472
```

The 8 most intense peaks (15 to 90 degrees two-theta), most intense first:
2theta, intensity
30.36, 1000
56.33, 291
26.21, 199
53.95, 177
46.25, 154
40.54, 122
75.76, 89
81.78, 82


Record 12
TaFe2: calculated powder diffractogram (Cu Kα (λ = 1.5418 Å)), based on a DFT-relaxed cell (GGA-PBE, the Materials Project).
Neutral-atom scattering factors, no anomalous dispersion.

```
12
Lattice="4.765 0.000 0.000 -2.382 4.126 0.000 0.000 0.000 7.895" Properties=species:S:1:pos:R:3 pbc="T T T"
Ta 0.000 2.751 0.520
Ta 0.000 2.751 3.427
Ta 2.382 1.375 4.467
Ta 2.382 1.375 7.374
Fe 0.000 0.000 0.000
Fe 0.000 0.000 3.947
Fe 0.000 1.406 5.921
Fe -1.165 3.424 5.921
Fe 1.217 0.703 1.974
Fe 1.165 3.424 5.921
Fe 3.547 0.703 1.974
Fe 2.382 2.721 1.974
```

The 8 most intense peaks (15 to 90 degrees two-theta), most intense first:
2theta, intensity
40.66, 1000
44.41, 831
37.76, 654
45.44, 459
70.14, 379
75.88, 269
80.66, 187
72.82, 186


Q: Which formula does entry 8 have?
A: UFe5Sn